(1)
Calculated PXRD pattern of Cu2Ag7 for Cu Ka, from a PBE-relaxed structure.

Peak list (10 most intense, 2θ = 10–80°, low angle first)
| (hkl) | 2θ/deg | d (Å) | Rel. int. |
| --- | --- | --- | --- |
| 2 0 -5 | 38.37 | 2.346 | 98 |
| 1 1 2 | 38.48 | 2.339 | 100 |
| 3 1 -3 | 43.96 | 2.060 | 66 |
| 2 0 4 | 46.06 | 1.971 | 28 |
| 0 2 0 | 64.08 | 1.453 | 10 |
| 1 1 -7 | 65.49 | 1.425 | 19 |
| 5 1 1 | 65.62 | 1.423 | 17 |
| 5 1 -8 | 76.94 | 1.239 | 11 |
| 7 1 -4 | 77.05 | 1.238 | 11 |
| 2 2 -5 | 77.22 | 1.235 | 23 |

Atomic structure:
Unit cell a=9.596 b=2.906 c=11.798 alpha=90.00 beta=113.83 gamma=90.00
Space group C2/m (No. 12)
Symmetry-distinct sites (fractional):
Cu  0.055  0.000  0.218 x4
Ag  0.000  0.500  0.000 x2
Ag  0.104  0.500  0.434 x4
Ag  0.178  0.000  0.669 x4
Ag  0.212  0.500  0.884 x4

(2)
Calculated PXRD pattern of Dy6Te5C for Cu Ka, from a PBE-relaxed structure.

Peak list (10 most intense, 2θ = 10–80°, low angle first)
| (hkl) | 2θ/deg | d (Å) | Rel. int. |
| --- | --- | --- | --- |
| 2 0 -2 | 29.70 | 3.008 | 100 |
| 2 4 -1 | 37.39 | 2.405 | 6 |
| 1 5 -1 | 38.27 | 2.352 | 7 |
| 3 1 0 | 39.16 | 2.301 | 8 |
| 0 0 3 | 39.35 | 2.290 | 5 |
| 3 3 -1 | 42.17 | 2.143 | 20 |
| 2 0 2 | 42.47 | 2.128 | 19 |
| 1 3 -3 | 42.87 | 2.109 | 21 |
| 2 6 -2 | 52.69 | 1.737 | 8 |
| 0 0 4 | 53.33 | 1.718 | 5 |

Atomic structure:
Unit cell a=7.439 b=12.779 c=7.284 alpha=90.00 beta=109.39 gamma=90.00
Space group C2/m (No. 12)
Symmetry-distinct sites (fractional):
Dy  0.203  0.000  0.275 x4
Dy  0.208  0.140  0.710 x8
Te  0.000  0.181  0.000 x4
Te  0.000  0.336  0.500 x4
Te  0.000  0.500  0.000 x2
C  0.000  0.000  0.500 x2

(3)
Calculated PXRD pattern of Y4Er2LuNi2Te2 for Cu Ka, from a PBE-relaxed structure.

Peak list (10 most intense, 2θ = 10–80°, low angle first)
| (hkl) | 2θ/deg | d (Å) | Rel. int. |
| --- | --- | --- | --- |
| 1 3 0 | 28.95 | 3.084 | 40 |
| 0 5 1 | 30.22 | 2.957 | 35 |
| 1 1 2 | 30.43 | 2.937 | 52 |
| 0 3 3 | 33.03 | 2.712 | 92 |
| 1 4 1 | 34.14 | 2.626 | 100 |
| 0 6 0 | 34.62 | 2.591 | 94 |
| 1 0 3 | 36.68 | 2.450 | 36 |
| 1 2 3 | 38.53 | 2.337 | 33 |
| 2 0 0 | 47.38 | 1.919 | 35 |
| 2 3 3 | 58.97 | 1.566 | 40 |

Atomic structure:
Unit cell a=3.838 b=15.552 c=9.548 alpha=90.00 beta=90.00 gamma=90.00
Space group Imm2 (No. 44)
Symmetry-distinct sites (fractional):
Y  0.000  0.131  0.000 x4
Y  0.000  0.354  0.851 x4
Er  0.000  0.316  0.201 x4
Lu  0.000  0.000  0.582 x2
Ni  0.000  0.238  0.511 x4
Te  0.000  0.000  0.247 x2
Te  0.000  0.500  0.345 x2

(4)
Calculated PXRD pattern of Nd2DyNiSn3Ir2 for Cu Ka, from a PBE-relaxed structure.

Peak list (10 most intense, 2θ = 10–80°, low angle first)
| (hkl) | 2θ/deg | d (Å) | Rel. int. |
| --- | --- | --- | --- |
| 1 3 1 | 32.67 | 2.741 | 100 |
| 1 2 2 | 35.50 | 2.529 | 49 |
| 1 4 0 | 35.61 | 2.521 | 30 |
| 0 1 3 | 36.44 | 2.466 | 17 |
| 0 4 2 | 36.60 | 2.455 | 31 |
| 0 3 3 | 41.58 | 2.172 | 22 |
| 1 4 2 | 43.20 | 2.094 | 16 |
| 2 0 0 | 45.23 | 2.005 | 25 |
| 2 1 3 | 59.46 | 1.555 | 17 |
| 1 7 3 | 66.99 | 1.397 | 17 |

Atomic structure:
Unit cell a=4.010 b=12.971 c=7.535 alpha=90.00 beta=90.00 gamma=90.00
Space group Amm2 (No. 38)
Symmetry-distinct sites (fractional):
Nd  0.000  0.205  0.000 x4
Dy  0.000  0.000  0.386 x2
Ni  0.000  0.000  0.790 x2
Sn  0.500  0.000  0.045 x2
Sn  0.500  0.124  0.668 x4
Ir  0.500  0.162  0.296 x4

(5)
Calculated PXRD pattern of Nb3Sb2Te5 for Cu Ka, from a PBE-relaxed structure.

Peak list (10 most intense, 2θ = 10–80°, low angle first)
| (hkl) | 2θ/deg | d (Å) | Rel. int. |
| --- | --- | --- | --- |
| 3 1 0 | 28.48 | 3.134 | 37 |
| 2 2 2 | 31.26 | 2.861 | 50 |
| 3 2 1 | 33.84 | 2.649 | 51 |
| 3 3 0 | 38.53 | 2.336 | 100 |
| 4 2 2 | 44.79 | 2.023 | 20 |
| 6 0 0 | 55.64 | 1.652 | 21 |
| 5 3 2 | 57.30 | 1.608 | 17 |
| 5 4 1 | 60.54 | 1.529 | 16 |
| 6 3 3 | 69.71 | 1.349 | 40 |
| 7 4 1 | 78.37 | 1.220 | 17 |

Atomic structure:
Unit cell a=9.912 b=9.912 c=9.912 alpha=90.00 beta=90.00 gamma=90.00
Space group I-43m (No. 217)
Symmetry-distinct sites (fractional):
Nb  0.000  0.000  0.343 x12
Sb  0.166  0.166  0.166 x8
Te  0.000  0.250  0.500 x12
Te  0.163  0.163  0.837 x8

(6)
Calculated PXRD pattern of Zr4Ni3Mo2C3 for Cu Ka, from a PBE-relaxed structure.

Peak list (10 most intense, 2θ = 10–80°, low angle first)
| (hkl) | 2θ/deg | d (Å) | Rel. int. |
| --- | --- | --- | --- |
| 0 0 4 | 27.99 | 3.187 | 7 |
| 3 1 -1 | 32.08 | 2.790 | 40 |
| 0 2 1 | 32.86 | 2.726 | 16 |
| 3 1 -4 | 38.54 | 2.336 | 100 |
| 3 1 2 | 38.72 | 2.326 | 47 |
| 0 0 6 | 42.54 | 2.125 | 16 |
| 6 0 -2 | 57.18 | 1.611 | 30 |
| 6 2 -5 | 71.00 | 1.328 | 7 |
| 6 2 1 | 71.28 | 1.323 | 6 |
| 6 0 -8 | 73.62 | 1.287 | 6 |

Atomic structure:
Unit cell a=9.659 b=5.585 c=13.171 alpha=90.00 beta=104.54 gamma=90.00
Space group C2/c (No. 15)
Symmetry-distinct sites (fractional):
Zr  0.120  0.077  0.111 x8
Zr  0.210  0.088  0.389 x8
Ni  0.000  0.157  0.750 x4
Ni  0.129  0.454  0.249 x8
Mo  0.060  0.412  0.921 x8
C  0.082  0.253  0.500 x8
C  0.250  0.250  0.000 x4

(7)
Calculated PXRD pattern of BaSrCoTe3 for Cu Ka, from a PBE-relaxed structure.

Peak list (10 most intense, 2θ = 10–80°, low angle first)
| (hkl) | 2θ/deg | d (Å) | Rel. int. |
| --- | --- | --- | --- |
| 1 1 2 | 23.69 | 3.756 | 37 |
| 2 0 4 | 26.87 | 3.318 | 25 |
| 2 1 1 | 27.72 | 3.218 | 53 |
| 2 1 2 | 28.93 | 3.086 | 100 |
| 3 0 2 | 30.16 | 2.963 | 27 |
| 0 1 5 | 30.83 | 2.900 | 33 |
| 1 1 5 | 32.30 | 2.772 | 33 |
| 3 1 1 | 35.16 | 2.552 | 21 |
| 0 2 0 | 39.54 | 2.279 | 44 |
| 3 2 2 | 50.49 | 1.807 | 20 |

Atomic structure:
Unit cell a=9.366 b=4.558 c=18.811 alpha=90.00 beta=90.00 gamma=90.00
Space group Pnma (No. 62)
Symmetry-distinct sites (fractional):
Ba  0.242  0.250  0.043 x4
Sr  0.091  0.750  0.287 x4
Co  0.136  0.750  0.862 x4
Te  0.013  0.250  0.891 x4
Te  0.120  0.250  0.425 x4
Te  0.177  0.750  0.726 x4

(8)
Calculated PXRD pattern of RbNbNO for Cu Ka, from a PBE-relaxed structure.

Peak list (10 most intense, 2θ = 10–80°, low angle first)
| (hkl) | 2θ/deg | d (Å) | Rel. int. |
| --- | --- | --- | --- |
| 0 1 0 | 10.50 | 8.428 | 25 |
| 1 2 0 | 25.41 | 3.505 | 30 |
| 2 0 0 | 28.26 | 3.158 | 21 |
| 1 2 1 | 29.52 | 3.026 | 100 |
| 0 0 2 | 29.83 | 2.995 | 48 |
| 2 0 1 | 32.03 | 2.794 | 41 |
| 1 2 2 | 39.58 | 2.277 | 13 |
| 3 2 0 | 48.32 | 1.884 | 17 |
| 1 2 3 | 52.76 | 1.735 | 21 |
| 3 2 2 | 57.83 | 1.594 | 16 |

Atomic structure:
Unit cell a=6.317 b=8.428 c=5.991 alpha=90.00 beta=90.00 gamma=90.00
Space group Pca2_1 (No. 29)
Symmetry-distinct sites (fractional):
Rb  0.052  0.133  0.000 x4
Nb  0.103  0.582  0.963 x4
N  0.013  0.782  0.005 x4
O  0.103  0.571  0.620 x4

(9)
Calculated PXRD pattern of Cd2GeP4W for Cu Ka, from a PBE-relaxed structure.

Peak list (10 most intense, 2θ = 10–80°, low angle first)
| (hkl) | 2θ/deg | d (Å) | Rel. int. |
| --- | --- | --- | --- |
| 1 0 1 | 17.21 | 5.153 | 8 |
| 1 1 2 | 26.99 | 3.303 | 100 |
| 2 0 0 | 30.72 | 2.911 | 19 |
| 0 0 4 | 32.34 | 2.768 | 8 |
| 2 2 0 | 44.00 | 2.058 | 18 |
| 2 0 4 | 45.21 | 2.006 | 35 |
| 1 3 2 | 52.38 | 1.747 | 31 |
| 1 1 6 | 54.49 | 1.684 | 14 |
| 2 2 4 | 55.65 | 1.652 | 8 |
| 3 1 6 | 72.53 | 1.303 | 12 |

Atomic structure:
Unit cell a=5.821 b=5.821 c=11.072 alpha=90.00 beta=90.00 gamma=90.00
Space group I-4 (No. 82)
Symmetry-distinct sites (fractional):
Cd  0.000  0.000  0.000 x2
Cd  0.000  0.500  0.250 x2
Ge  0.000  0.500  0.750 x2
P  0.213  0.245  0.622 x8
W  0.000  0.000  0.500 x2

(10)
Calculated PXRD pattern of PrNdSb4 for Cu Ka, from a PBE-relaxed structure.

Peak list (10 most intense, 2θ = 10–80°, low angle first)
| (hkl) | 2θ/deg | d (Å) | Rel. int. |
| --- | --- | --- | --- |
| 0 0 6 | 30.92 | 2.892 | 21 |
| 1 1 3 | 32.28 | 2.773 | 100 |
| 0 2 0 | 40.09 | 2.249 | 15 |
| 2 0 0 | 40.63 | 2.221 | 15 |
| 0 2 6 | 51.47 | 1.775 | 10 |
| 1 1 9 | 55.82 | 1.647 | 13 |
| 2 2 0 | 58.40 | 1.580 | 10 |
| 2 2 6 | 67.58 | 1.386 | 13 |
| 1 3 3 | 67.94 | 1.380 | 11 |
| 3 1 3 | 68.69 | 1.366 | 11 |

Atomic structure:
Unit cell a=4.441 b=4.498 c=17.353 alpha=90.00 beta=90.00 gamma=90.00
Space group Amm2 (No. 38)
Symmetry-distinct sites (fractional):
Pr  0.000  0.000  0.000 x2
Nd  0.500  0.000  0.210 x2
Sb  0.000  0.000  0.354 x2
Sb  0.000  0.000  0.671 x2
Sb  0.500  0.000  0.540 x2
Sb  0.500  0.000  0.854 x2

(11)
Calculated PXRD pattern of Ni5S4 for Cu Ka, from a PBE-relaxed structure.

Peak list (10 most intense, 2θ = 10–80°, low angle first)
| (hkl) | 2θ/deg | d (Å) | Rel. int. |
| --- | --- | --- | --- |
| 1 1 0 | 14.74 | 6.009 | 96 |
| 2 1 1 | 35.52 | 2.528 | 85 |
| 3 0 1 | 41.57 | 2.172 | 100 |
| 3 3 0 | 45.28 | 2.003 | 20 |
| 2 3 1 | 46.98 | 1.934 | 52 |
| 2 4 0 | 47.87 | 1.900 | 51 |
| 4 1 1 | 51.95 | 1.760 | 39 |
| 0 0 2 | 54.20 | 1.692 | 27 |
| 3 3 2 | 73.27 | 1.292 | 18 |
| 2 4 2 | 75.18 | 1.264 | 24 |

Atomic structure:
Unit cell a=8.497 b=8.497 c=3.385 alpha=90.00 beta=90.00 gamma=90.00
Space group I4/m (No. 87)
Symmetry-distinct sites (fractional):
Ni  0.000  0.000  0.000 x2
Ni  0.124  0.207  0.500 x8
S  0.060  0.741  0.000 x8

(12)
Calculated PXRD pattern of BeZnTeO for Cu Ka, from a PBE-relaxed structure.

Peak list (10 most intense, 2θ = 10–80°, low angle first)
| (hkl) | 2θ/deg | d (Å) | Rel. int. |
| --- | --- | --- | --- |
| 0 1 1 | 16.38 | 5.411 | 19 |
| 1 1 0 | 21.60 | 4.115 | 21 |
| 1 1 1 | 24.25 | 3.671 | 100 |
| 0 2 1 | 26.92 | 3.312 | 30 |
| 1 0 2 | 28.31 | 3.152 | 72 |
| 1 2 1 | 32.43 | 2.760 | 31 |
| 0 1 3 | 35.38 | 2.537 | 30 |
| 1 3 1 | 43.03 | 2.102 | 19 |
| 2 1 2 | 44.36 | 2.042 | 33 |
| 2 2 1 | 45.52 | 1.993 | 61 |

Atomic structure:
Unit cell a=4.996 b=7.253 c=8.125 alpha=90.00 beta=90.00 gamma=90.00
Space group P2_12_12_1 (No. 19)
Symmetry-distinct sites (fractional):
Be  0.034  0.215  0.063 x4
Zn  0.058  0.547  0.877 x4
Te  0.233  0.128  0.333 x4
O  0.243  0.328  0.970 x4